Simulated powder XRD pattern of Ba8As3HBr4 for Cu Kα, 1.54184 Å, from the PBE geometry in Alexandria.

Structural model:
Unit cell a=9.5348 b=9.5348 c=9.5348 alpha=59.25 beta=59.25 gamma=59.25
Fractional coordinates of all 16 atoms:
Ba  0.2360  0.7436  0.7436
Ba  0.2419  0.2419  0.2419
Ba  0.2564  0.2564  0.7640
Ba  0.2564  0.7640  0.2564
Ba  0.7436  0.2360  0.7436
Ba  0.7436  0.7436  0.2360
Ba  0.7581  0.7581  0.7581
Ba  0.7640  0.2564  0.2564
As  0.0000  0.0000  0.5000
As  0.0000  0.5000  0.0000
As  0.5000  0.0000  0.0000
H  0.5000  0.5000  0.5000
Br  0.0000  0.0000  0.0000
Br  0.0000  0.5000  0.5000
Br  0.5000  0.0000  0.5000
Br  0.5000  0.5000  0.0000

Principal peaks in the range 10 to 80 degrees two-theta, in order of rising 2θ:
d/Å	two_theta	I/Imax
3.856	23.07	13
3.352	26.60	100
2.383	37.74	36
2.357	38.19	39
1.928	47.14	20
1.676	54.78	12
1.506	61.60	14
1.492	62.22	18
1.366	68.73	12
1.361	69.03	7